This entry pairs a crystal structure of Sc3Tl5 with its computed powder diffraction line list. Radiation: Cu Kα (λ = 1.5418 Å). Structure: a DFT-relaxed cell (GGA-PBE, Alexandria).
Lines closer than 0.1° are merged.

Structure:
```
data_Sc3Tl5
_symmetry_space_group_name_H-M 'P 1'
_symmetry_Int_Tables_number 1
_symmetry_space_group_name_Hall 'P 1'
_cell_length_a 6.288
_cell_length_b 6.288
_cell_length_c 10.160
_cell_angle_alpha 90.00
_cell_angle_beta 90.00
_cell_angle_gamma 77.27
loop_
_atom_site_label
_atom_site_type_symbol
_atom_site_fract_x
_atom_site_fract_y
_atom_site_fract_z
Sc1 Sc 0.083 0.917 0.750
Sc2 Sc 0.284 0.284 0.000
Sc3 Sc 0.284 0.284 0.500
Sc4 Sc 0.716 0.716 0.000
Sc5 Sc 0.716 0.716 0.500
Sc6 Sc 0.917 0.083 0.250
Tl1 Tl 0.005 0.451 0.750
Tl2 Tl 0.208 0.792 0.027
Tl3 Tl 0.208 0.792 0.473
Tl4 Tl 0.451 0.005 0.250
Tl5 Tl 0.487 0.513 0.750
Tl6 Tl 0.513 0.487 0.250
Tl7 Tl 0.549 0.995 0.750
Tl8 Tl 0.792 0.208 0.527
Tl9 Tl 0.792 0.208 0.973
Tl10 Tl 0.995 0.549 0.250
```

Most intense lines, 5 to 70 degrees two-theta, low angle first:
Position (°2θ)  Rel. int.
22.69  26
25.22  20
34.15  100
34.53  11
35.34  25
35.50  13
36.60  26
51.78  14
62.66  18
64.32  11

***

This entry pairs a crystal structure of ScTl with its computed powder diffraction line list. Radiation: Cu Kα (λ = 1.5418 Å). Structure: a DFT-relaxed cell (GGA-PBE, Alexandria).
Lines closer than 0.1° are merged.

Structure:
```
data_ScTl
_symmetry_space_group_name_H-M 'P 1'
_symmetry_Int_Tables_number 1
_symmetry_space_group_name_Hall 'P 1'
_cell_length_a 7.331
_cell_length_b 7.331
_cell_length_c 3.394
_cell_angle_alpha 90.00
_cell_angle_beta 90.00
_cell_angle_gamma 120.00
loop_
_atom_site_label
_atom_site_type_symbol
_atom_site_fract_x
_atom_site_fract_y
_atom_site_fract_z
Sc1 Sc 0.000 0.245 0.000
Sc2 Sc 0.245 0.000 0.000
Sc3 Sc 0.755 0.755 0.000
Tl1 Tl 0.000 0.584 0.500
Tl2 Tl 0.416 0.416 0.500
Tl3 Tl 0.584 0.000 0.500
```

Most intense lines, 5 to 70 degrees two-theta, low angle first:
Position (°2θ)  Rel. int.
24.28  89
26.26  31
28.11  46
29.85  24
36.07  100
37.48  52
38.84  62
51.93  38
59.11  62
67.61  20

***

This entry pairs a crystal structure of Sc4Tl5 with its computed powder diffraction line list. Radiation: Cu Kα (λ = 1.5418 Å). Structure: a DFT-relaxed cell (GGA-PBE, Alexandria).
Lines closer than 0.1° are merged.

Structure:
```
data_Sc4Tl5
_symmetry_space_group_name_H-M 'P 1'
_symmetry_Int_Tables_number 1
_symmetry_space_group_name_Hall 'P 1'
_cell_length_a 8.932
_cell_length_b 8.932
_cell_length_c 6.317
_cell_angle_alpha 90.00
_cell_angle_beta 90.00
_cell_angle_gamma 120.00
loop_
_atom_site_label
_atom_site_type_symbol
_atom_site_fract_x
_atom_site_fract_y
_atom_site_fract_z
Sc1 Sc 0.000 0.000 0.000
Sc2 Sc 0.000 0.000 0.500
Sc3 Sc 0.000 0.369 0.250
Sc4 Sc 0.000 0.631 0.750
Sc5 Sc 0.369 0.000 0.250
Sc6 Sc 0.369 0.369 0.750
Sc7 Sc 0.631 0.000 0.750
Sc8 Sc 0.631 0.631 0.250
Tl1 Tl 0.000 0.294 0.750
Tl2 Tl 0.000 0.706 0.250
Tl3 Tl 0.294 0.000 0.750
Tl4 Tl 0.294 0.294 0.250
Tl5 Tl 0.333 0.667 0.000
Tl6 Tl 0.333 0.667 0.500
Tl7 Tl 0.667 0.333 0.000
Tl8 Tl 0.667 0.333 0.500
Tl9 Tl 0.706 0.000 0.250
Tl10 Tl 0.706 0.706 0.750
```

Most intense lines, 5 to 70 degrees two-theta, low angle first:
Position (°2θ)  Rel. int.
23.00  8
24.41  29
30.58  12
33.78  12
34.79  100
50.03  17
51.50  8
53.64  8
62.38  19
69.84  12

***

This entry pairs a crystal structure of ScTl3 with its computed powder diffraction line list. Radiation: Cu Kα (λ = 1.5418 Å). Structure: a DFT-relaxed cell (GGA-PBE, Alexandria).
Lines closer than 0.1° are merged.

Structure:
```
data_ScTl3
_symmetry_space_group_name_H-M 'P 1'
_symmetry_Int_Tables_number 1
_symmetry_space_group_name_Hall 'P 1'
_cell_length_a 3.407
_cell_length_b 3.407
_cell_length_c 10.733
_cell_angle_alpha 90.00
_cell_angle_beta 90.00
_cell_angle_gamma 116.59
loop_
_atom_site_label
_atom_site_type_symbol
_atom_site_fract_x
_atom_site_fract_y
_atom_site_fract_z
Sc1 Sc 0.000 0.000 0.000
Tl1 Tl 0.000 0.000 0.500
Tl2 Tl 0.500 0.500 0.233
Tl3 Tl 0.500 0.500 0.767
```

Most intense lines, 5 to 70 degrees two-theta, low angle first:
Position (°2θ)  Rel. int.
8.24  18
24.89  10
30.50  13
30.85  33
33.39  24
33.83  100
46.10  20
56.79  23
59.97  15
60.81  10

***

This entry pairs a crystal structure of Sc5Tl2 with its computed powder diffraction line list. Radiation: Cu Kα (λ = 1.5418 Å). Structure: a DFT-relaxed cell (GGA-PBE, Alexandria).
Lines closer than 0.1° are merged.

Structure:
```
data_Sc5Tl2
_symmetry_space_group_name_H-M 'P 1'
_symmetry_Int_Tables_number 1
_symmetry_space_group_name_Hall 'P 1'
_cell_length_a 8.071
_cell_length_b 8.071
_cell_length_c 8.714
_cell_angle_alpha 100.34
_cell_angle_beta 100.34
_cell_angle_gamma 36.36
loop_
_atom_site_label
_atom_site_type_symbol
_atom_site_fract_x
_atom_site_fract_y
_atom_site_fract_z
Sc1 Sc 0.022 0.524 0.674
Sc2 Sc 0.107 0.606 0.035
Sc3 Sc 0.250 0.750 0.750
Sc4 Sc 0.394 0.893 0.465
Sc5 Sc 0.476 0.978 0.826
Sc6 Sc 0.524 0.022 0.174
Sc7 Sc 0.606 0.107 0.535
Sc8 Sc 0.750 0.250 0.250
Sc9 Sc 0.893 0.394 0.965
Sc10 Sc 0.978 0.476 0.326
Tl1 Tl 0.172 0.673 0.391
Tl2 Tl 0.327 0.828 0.109
Tl3 Tl 0.673 0.172 0.891
Tl4 Tl 0.828 0.327 0.609
```

Most intense lines, 5 to 70 degrees two-theta, low angle first:
Position (°2θ)  Rel. int.
11.75  27
21.85  72
25.82  31
28.45  23
34.58  100
35.67  96
50.53  33
51.41  22
63.38  33
64.08  17

***

This entry pairs a crystal structure of Sc7Tl3 with its computed powder diffraction line list. Radiation: Cu Kα (λ = 1.5418 Å). Structure: a DFT-relaxed cell (GGA-PBE, Alexandria).
Lines closer than 0.1° are merged.

Structure:
```
data_Sc7Tl3
_symmetry_space_group_name_H-M 'P 1'
_symmetry_Int_Tables_number 1
_symmetry_space_group_name_Hall 'P 1'
_cell_length_a 8.610
_cell_length_b 8.610
_cell_length_c 8.610
_cell_angle_alpha 147.35
_cell_angle_beta 136.81
_cell_angle_gamma 55.17
loop_
_atom_site_label
_atom_site_type_symbol
_atom_site_fract_x
_atom_site_fract_y
_atom_site_fract_z
Sc1 Sc 0.000 0.000 0.000
Sc2 Sc 0.147 0.395 0.752
Sc3 Sc 0.300 0.800 0.500
Sc4 Sc 0.357 0.605 0.752
Sc5 Sc 0.643 0.395 0.248
Sc6 Sc 0.700 0.200 0.500
Sc7 Sc 0.853 0.605 0.248
Tl1 Tl 0.196 0.196 0.000
Tl2 Tl 0.500 0.000 0.500
Tl3 Tl 0.804 0.804 0.000
```

Most intense lines, 5 to 70 degrees two-theta, low angle first:
Position (°2θ)  Rel. int.
19.24  35
22.41  63
25.94  77
28.16  32
34.33  75
34.74  100
36.87  27
37.15  42
43.84  32
45.31  36

***

This entry pairs a crystal structure of Sc3Tl5 with its computed powder diffraction line list. Radiation: Cu Kα (λ = 1.5418 Å). Structure: a DFT-relaxed cell (GGA-PBE, Alexandria).
Lines closer than 0.1° are merged.

Structure:
```
data_Sc3Tl5
_symmetry_space_group_name_H-M 'P 1'
_symmetry_Int_Tables_number 1
_symmetry_space_group_name_Hall 'P 1'
_cell_length_a 6.439
_cell_length_b 6.439
_cell_length_c 4.718
_cell_angle_alpha 90.00
_cell_angle_beta 90.00
_cell_angle_gamma 91.85
loop_
_atom_site_label
_atom_site_type_symbol
_atom_site_fract_x
_atom_site_fract_y
_atom_site_fract_z
Sc1 Sc 0.000 0.000 0.000
Sc2 Sc 0.276 0.724 0.500
Sc3 Sc 0.724 0.276 0.500
Tl1 Tl 0.000 0.500 0.000
Tl2 Tl 0.222 0.222 0.500
Tl3 Tl 0.500 0.000 0.000
Tl4 Tl 0.500 0.500 0.000
Tl5 Tl 0.778 0.778 0.500
```

Most intense lines, 5 to 70 degrees two-theta, low angle first:
Position (°2θ)  Rel. int.
19.82  14
26.99  16
33.71  100
38.15  19
38.93  17
40.27  14
55.64  12
56.67  10
66.13  14
67.20  13

***

This entry pairs a crystal structure of Tm4ScTl7 with its computed powder diffraction line list. Radiation: Cu Kα (λ = 1.5418 Å). Structure: a DFT-relaxed cell (GGA-PBE, Alexandria).
Lines closer than 0.1° are merged.

Structure:
```
data_Tm4ScTl7
_symmetry_space_group_name_H-M 'P 1'
_symmetry_Int_Tables_number 1
_symmetry_space_group_name_Hall 'P 1'
_cell_length_a 7.430
_cell_length_b 7.430
_cell_length_c 11.078
_cell_angle_alpha 121.02
_cell_angle_beta 121.02
_cell_angle_gamma 43.19
loop_
_atom_site_label
_atom_site_type_symbol
_atom_site_fract_x
_atom_site_fract_y
_atom_site_fract_z
Tm1 Tm 0.079 0.079 0.283
Tm2 Tm 0.216 0.216 0.826
Tm3 Tm 0.784 0.784 0.174
Tm4 Tm 0.921 0.921 0.717
Sc1 Sc 0.500 0.500 0.500
Tl1 Tl 0.000 0.000 0.500
Tl2 Tl 0.134 0.134 0.048
Tl3 Tl 0.287 0.287 0.606
Tl4 Tl 0.416 0.416 0.177
Tl5 Tl 0.584 0.584 0.823
Tl6 Tl 0.713 0.713 0.394
Tl7 Tl 0.866 0.866 0.952
```

Most intense lines, 5 to 70 degrees two-theta, low angle first:
Position (°2θ)  Rel. int.
23.04  27
28.42  24
32.75  66
32.88  41
34.09  100
37.24  69
38.99  30
47.09  31
59.32  21
61.43  16